Structure and simulated powder diffraction line list of Li6GaIr2 (a GGA-PBE-relaxed structure; CuKα).
Peak positions follow from Bragg's law for the DFT cell and can differ from measured ones.

Peak list (10 most intense, 2θ from 10° to 90°, low angle first)
2θ = 18.0°, I = 11, hkl 1 1 0; 2θ = 23.5°, I = 100, hkl 0 2 0; 2θ = 36.0°, I = 10, hkl 2 0 1; 2θ = 41.3°, I = 28, hkl 2 0 -2; 2θ = 43.4°, I = 46, hkl 3 1 0; 2θ = 48.0°, I = 15, hkl 0 4 0; 2θ = 55.9°, I = 15, hkl 3 3 0; 2θ = 61.4°, I = 11, hkl 2 4 1; 2θ = 65.2°, I = 12, hkl 3 1 -3; 2θ = 76.7°, I = 12, hkl 3 5 0

Structural model:
```
data_Li6GaIr2
_cell_length_a 6.630
_cell_length_b 7.578
_cell_length_c 5.041
_cell_angle_alpha 90.00
_cell_angle_beta 101.44
_cell_angle_gamma 90.00
_space_group_name_H-M_alt 'C 1 2/m 1'
_space_group_IT_number 12
_space_group_name_Hall '-C 2y'
loop_
_atom_site_label
_atom_site_type_symbol
_atom_site_fract_x
_atom_site_fract_y
_atom_site_fract_z
Li1 Li 0.000 0.172 0.000
Li2 Li 0.164 0.336 0.672
Ga1 Ga 0.000 0.000 0.500
Ir1 Ir 0.171 0.500 0.171
```



Structure and simulated powder diffraction line list of Sc2V2Fe15 (a GGA-PBE-relaxed structure; CuKα).
Peak positions follow from Bragg's law for the DFT cell and can differ from measured ones.

Peak list (10 most intense, 2θ from 10° to 90°, low angle first)
2θ = 21.6°, I = 18, hkl 1 1 0; 2θ = 37.9°, I = 20, hkl 3 0 0; 2θ = 43.7°, I = 26, hkl 0 0 6; 2θ = 44.0°, I = 100, hkl 0 3 3; 2θ = 44.5°, I = 10, hkl 2 0 5; 2θ = 49.3°, I = 18, hkl 1 1 6; 2θ = 49.6°, I = 57, hkl 2 2 3; 2θ = 72.8°, I = 12, hkl 3 3 3; 2θ = 80.5°, I = 12, hkl 0 3 9; 2θ = 81.1°, I = 15, hkl 6 0 0

Structural model:
```
data_Sc2V2Fe15
_cell_length_a 8.2132
_cell_length_b 8.2132
_cell_length_c 12.4246
_cell_angle_alpha 90.00
_cell_angle_beta 90.00
_cell_angle_gamma 120.00
_space_group_name_H-M_alt 'R -3 m'
_space_group_IT_number 166
_space_group_name_Hall '-R 3 2"'
loop_
_atom_site_label
_atom_site_type_symbol
_atom_site_fract_x
_atom_site_fract_y
_atom_site_fract_z
Sc1 Sc 0.0000 0.0000 0.1554
V1 V 0.0000 0.0000 0.4039
Fe1 Fe 0.0000 0.3120 0.5000
Fe2 Fe 0.0000 0.5000 0.0000
Fe3 Fe 0.0022 0.5011 0.6590
```